# NpNiO4F
Computed powder XRD pattern, Cu Kα, 1.54184 Å. Input: a DFT-relaxed cell (GGA+U, Alexandria).
Peak positions follow from Bragg's law for the DFT cell and can differ from measured ones.

Main lines, in order of rising 2θ (5° ≤ 2θ ≤ 70°):
| h k l | d_spacing | 2θ (°) | intensity |
| --- | --- | --- | --- |
| 1 0 -1 | 4.888 | 18.15 | 34 |
| 0 1 1 | 4.400 | 20.18 | 100 |
| 1 0 1 | 3.872 | 22.97 | 45 |
| 1 1 0 | 3.846 | 23.13 | 46 |
| 1 1 1 | 3.175 | 28.10 | 22 |
| 1 1 -2 | 2.894 | 30.90 | 29 |
| 0 2 0 | 2.774 | 32.28 | 30 |
| 2 1 -1 | 2.445 | 36.76 | 30 |
| 1 2 -2 | 2.147 | 42.08 | 23 |
| 2 1 2 | 1.827 | 49.91 | 25 |

Lattice parameters (Å, degrees): 5.4960 5.5471 7.4428 90.00 103.86 90.00
Space group P2_1/m (No. 11)
Asymmetric unit:
Np1 0.2245 0.2500 0.1806 (multiplicity 2)
Ni1 0.0943 0.7500 0.5189 (multiplicity 2)
O1 0.0878 0.0196 0.3417 (multiplicity 4)
O2 0.3640 0.2500 0.9832 (multiplicity 2)
O3 0.4513 0.7500 0.6481 (multiplicity 2)
F1 0.1299 0.7500 0.0139 (multiplicity 2)